Computed PXRD pattern
Compound: AcNdCoPd
Radiation: Cu Kα
Structure: a cell relaxed with PBE
Peak positions follow from Bragg's law for the DFT cell and can differ from measured ones.

Atomic structure:
```
AcNdCoPd
1.0
0.000 3.638 3.638
3.638 0.000 3.638
3.638 3.638 0.000
Ac Nd Co Pd
1 1 1 1
direct
0.000 0.000 0.000 Ac
0.500 0.500 0.500 Nd
0.750 0.750 0.750 Co
0.250 0.250 0.250 Pd
```

Main lines, sorted by position (2θ from 10° to 80°):
d (Å), intensity
4.201, 6
3.638, 16
2.573, 100
2.194, 4
2.100, 5
1.819, 18
1.627, 7
1.485, 37
1.286, 11
1.213, 4